The following is a computed PXRD pattern of TaTl2AgS4. It was derived from a structure optimized by DFT (GGA-PBE), using Cu Kα, 1.54184 Å.

Crystal structure
a = 8.0959 Å, b = 10.6244 Å, c = 12.9760 Å
α = 90.00°, β = 127.57°, γ = 90.00°
Element x y z (fractional)
1 Ta 0.0726 0.2246 0.4515
2 Ta 0.0726 0.2754 0.9515
3 Ta 0.9274 0.7246 0.0485
4 Ta 0.9274 0.7754 0.5485
5 Tl 0.3326 0.0091 0.2237
6 Tl 0.3326 0.4909 0.7237
7 Tl 0.3988 0.7276 0.5018
8 Tl 0.3988 0.7724 0.0018
9 Tl 0.6012 0.2276 0.9982
10 Tl 0.6012 0.2724 0.4982
11 Tl 0.6674 0.5091 0.2763
12 Tl 0.6674 0.9909 0.7763
13 Ag 0.0867 0.0119 0.7137
14 Ag 0.0867 0.4881 0.2137
15 Ag 0.9133 0.5119 0.7863
16 Ag 0.9133 0.9881 0.2863
17 S 0.1124 0.2332 0.6412
18 S 0.1124 0.2668 0.1412
19 S 0.1839 0.0819 0.9353
20 S 0.1839 0.4181 0.4353
21 S 0.2742 0.6880 0.2178
22 S 0.2742 0.8120 0.7178
23 S 0.2851 0.0714 0.4659
24 S 0.2851 0.4286 0.9659
25 S 0.7149 0.5714 0.0341
26 S 0.7149 0.9286 0.5341
27 S 0.7258 0.1880 0.2822
28 S 0.7258 0.3120 0.7822
29 S 0.8161 0.5819 0.5647
30 S 0.8161 0.9181 0.0647
31 S 0.8876 0.7332 0.8588
32 S 0.8876 0.7668 0.3588

Top 12 peaks for 2θ = 5–70°, most intense first:
2θ 24.09, I 100; 2θ 23.52, I 36; 2θ 29.07, I 29; 2θ 34.89, I 27; 2θ 33.75, I 27; 2θ 24.95, I 26; 2θ 25.22, I 26; 2θ 28.45, I 23; 2θ 44.76, I 19; 2θ 29.55, I 19; 2θ 21.94, I 18; 2θ 51.79, I 17

=====

The following is a computed PXRD pattern of Er2MgZn2. It was derived from a structure optimized by DFT (GGA-PBE), using Cu Kα, 1.54184 Å.

Crystal structure
a = 7.4701 Å, b = 7.4701 Å, c = 3.5778 Å
α = 90.00°, β = 90.00°, γ = 145.32°
Element x y z (fractional)
1 Er 0.1284 0.8716 0.0000
2 Er 0.8716 0.1284 0.0000
3 Mg 0.5000 0.5000 0.5000
4 Zn 0.2994 0.7006 0.5000
5 Zn 0.7006 0.2994 0.5000

Top 12 peaks for 2θ = 5–70°, most intense first:
2θ 37.41, I 100; 2θ 32.72, I 69; 2θ 35.55, I 50; 2θ 24.95, I 35; 2θ 20.90, I 30; 2θ 54.98, I 29; 2θ 40.52, I 27; 2θ 12.41, I 21; 2θ 49.18, I 16; 2θ 27.45, I 15; 2θ 65.01, I 15; 2θ 51.06, I 14

=====

The following is a computed PXRD pattern of TlTcAgCl6. It was derived from a structure optimized by DFT (GGA-PBE), using Cu Kα, 1.54184 Å.

Crystal structure
a = 6.9047 Å, b = 6.9047 Å, c = 13.1965 Å
α = 90.00°, β = 90.00°, γ = 120.00°
Element x y z (fractional)
1 Tl 0.0000 0.0000 0.0000
2 Tl 0.0000 0.0000 0.5000
3 Tc 0.3333 0.6667 0.2500
4 Tc 0.6667 0.3333 0.7500
5 Ag 0.3333 0.6667 0.7500
6 Ag 0.6667 0.3333 0.2500
7 Cl 0.0439 0.3948 0.1458
8 Cl 0.0439 0.6491 0.3542
9 Cl 0.3509 0.3948 0.3542
10 Cl 0.3509 0.9561 0.1458
11 Cl 0.3948 0.0439 0.6458
12 Cl 0.3948 0.3509 0.8542
13 Cl 0.6052 0.6491 0.1458
14 Cl 0.6052 0.9561 0.3542
15 Cl 0.6491 0.0439 0.8542
16 Cl 0.6491 0.6052 0.6458
17 Cl 0.9561 0.3509 0.6458
18 Cl 0.9561 0.6052 0.8542

Top 12 peaks for 2θ = 5–70°, most intense first:
2θ 20.04, I 100; 2θ 37.72, I 51; 2θ 42.27, I 28; 2θ 25.81, I 27; 2θ 32.89, I 25; 2θ 45.51, I 18; 2θ 57.28, I 13; 2θ 58.56, I 11; 2θ 60.54, I 11; 2θ 29.19, I 11; 2θ 43.86, I 11; 2θ 51.59, I 10

=====

The following is a computed PXRD pattern of Fe2RuPt5. It was derived from a structure optimized by DFT (GGA-PBE), using Cu Kα, 1.54184 Å.

Crystal structure
a = 5.4356 Å, b = 9.6507 Å, c = 4.6274 Å
α = 90.00°, β = 90.00°, γ = 90.00°
Element x y z (fractional)
1 Fe 0.1404 0.1050 0.0000
2 Fe 0.3596 0.6050 0.0000
3 Fe 0.6404 0.3950 0.0000
4 Fe 0.8596 0.8950 0.0000
5 Ru 0.0000 0.5000 0.5000
6 Ru 0.5000 0.0000 0.5000
7 Pt 0.0000 0.0000 0.5000
8 Pt 0.1132 0.3692 0.0000
9 Pt 0.2270 0.7461 0.5000
10 Pt 0.2730 0.2461 0.5000
11 Pt 0.3868 0.8692 0.0000
12 Pt 0.5000 0.5000 0.5000
13 Pt 0.6132 0.1308 0.0000
14 Pt 0.7270 0.7539 0.5000
15 Pt 0.7730 0.2539 0.5000
16 Pt 0.8868 0.6308 0.0000

Top 12 peaks for 2θ = 5–70°, most intense first:
2θ 42.24, I 100; 2θ 38.93, I 65; 2θ 42.90, I 64; 2θ 38.00, I 43; 2θ 39.57, I 37; 2θ 55.53, I 29; 2θ 26.94, I 24; 2θ 43.59, I 14; 2θ 32.34, I 13; 2θ 59.86, I 11; 2θ 31.44, I 11; 2θ 67.69, I 9

=====

The following is a computed PXRD pattern of Cs3SrTi. It was derived from a structure optimized by DFT (GGA-PBE), using Cu Kα, 1.54184 Å.

Crystal structure
a = 8.3333 Å, b = 8.3333 Å, c = 8.3333 Å
α = 90.00°, β = 90.00°, γ = 90.00°
Element x y z (fractional)
1 Cs 0.0000 0.0000 0.5000
2 Cs 0.0000 0.5000 0.0000
3 Cs 0.5000 0.0000 0.0000
4 Sr 0.0000 0.0000 0.0000
5 Ti 0.5000 0.5000 0.5000

Top 12 peaks for 2θ = 5–70°, most intense first:
2θ 21.32, I 100; 2θ 18.44, I 83; 2θ 30.34, I 82; 2θ 10.62, I 49; 2θ 35.74, I 46; 2θ 48.88, I 42; 2θ 53.90, I 31; 2θ 23.88, I 31; 2θ 37.38, I 31; 2θ 67.43, I 20; 2θ 47.56, I 20; 2θ 32.23, I 18

=====

The following is a computed PXRD pattern of Rb3CdH6. It was derived from a structure optimized by DFT (GGA-PBE), using Cu Kα, 1.54184 Å.

Crystal structure
a = 9.9151 Å, b = 9.9151 Å, c = 5.6702 Å
α = 90.27°, β = 90.27°, γ = 71.24°
Element x y z (fractional)
1 Rb 0.0000 0.0000 0.0000
2 Rb 0.0547 0.4369 0.0045
3 Rb 0.3226 0.7005 0.5148
4 Rb 0.4369 0.0547 0.0045
5 Rb 0.7005 0.3226 0.5148
6 Rb 0.7552 0.7552 0.4946
7 Cd 0.1656 0.1656 0.5396
8 Cd 0.5869 0.5869 0.0443
9 H 0.1137 0.5458 0.4877
10 H 0.1622 0.4689 0.5108
11 H 0.1681 0.1681 0.2177
12 H 0.2470 0.9849 0.6623
13 H 0.2731 0.2731 0.6678
14 H 0.4689 0.1622 0.5108
15 H 0.4783 0.4783 0.1512
16 H 0.5106 0.7693 0.1721
17 H 0.5458 0.1137 0.4877
18 H 0.5949 0.5949 0.7219
19 H 0.7693 0.5106 0.1721
20 H 0.9849 0.2470 0.6623

Top 12 peaks for 2θ = 5–70°, most intense first:
2θ 24.62, I 100; 2θ 28.56, I 32; 2θ 10.98, I 31; 2θ 24.02, I 26; 2θ 31.56, I 25; 2θ 24.15, I 25; 2θ 22.06, I 17; 2θ 36.35, I 17; 2θ 45.65, I 15; 2θ 23.76, I 15; 2θ 45.92, I 12; 2θ 32.96, I 11